For AlSiBr4, a cell relaxed with PBE gives the simulated powder diffraction line list in this record (copper Kα).
Neutral-atom scattering factors, no anomalous dispersion.

Crystal structure
```
6
Lattice="0.000 4.465 4.465 4.465 0.000 4.465 4.465 4.465 0.000" Properties=species:S:1:pos:R:3 pbc="T T T"
Al 0.000 0.000 0.000
Si 2.232 2.232 2.232
Br 5.580 3.350 3.350
Br 3.350 5.580 3.350
Br 3.350 3.350 5.580
Br 5.580 5.580 5.580
```

Most intense lines, 10 to 80 degrees two-theta, sorted by position:
17.20 deg, I = 63; 33.28 deg, I = 100; 34.80 deg, I = 76; 40.40 deg, I = 26; 44.21 deg, I = 17; 53.31 deg, I = 33; 58.46 deg, I = 34; 61.43 deg, I = 12; 68.96 deg, I = 12; 69.87 deg, I = 29



For Al2SiTeBr, a cell relaxed with PBE gives the simulated powder diffraction line list in this record (copper Kα).
Neutral-atom scattering factors, no anomalous dispersion.

Crystal structure
```
5
Lattice="5.095 0.000 0.000 0.000 5.095 0.000 0.000 0.000 4.780" Properties=species:S:1:pos:R:3 pbc="T T T"
Al 0.000 2.547 0.000
Al 2.547 0.000 0.000
Si 0.000 0.000 0.000
Te 2.547 2.547 2.390
Br 0.000 0.000 2.390
```

Most intense lines, 10 to 80 degrees two-theta, sorted by position:
18.56 deg, I = 24; 24.71 deg, I = 55; 31.09 deg, I = 100; 35.23 deg, I = 55; 37.64 deg, I = 23; 45.55 deg, I = 21; 50.68 deg, I = 19; 52.50 deg, I = 34; 60.65 deg, I = 29; 64.81 deg, I = 18



For Sm4Al2Br5, a cell relaxed with PBE gives the simulated powder diffraction line list in this record (copper Kα).
Neutral-atom scattering factors, no anomalous dispersion.

Crystal structure
```
11
Lattice="12.089 -1.930 0.000 12.089 1.930 0.000 -1.244 0.000 8.670" Properties=species:S:1:pos:R:3 pbc="T T T"
Sm 0.207 0.000 2.389
Sm 7.403 0.000 4.819
Sm 15.532 0.000 3.852
Sm 22.728 0.000 6.281
Al 10.255 0.000 3.896
Al 12.680 0.000 4.774
Br 3.116 0.000 1.666
Br 4.499 0.000 5.822
Br 12.089 0.000 0.000
Br 18.436 0.000 2.848
Br 19.819 0.000 7.004
```

Most intense lines, 10 to 80 degrees two-theta, sorted by position:
10.20 deg, I = 67; 11.72 deg, I = 100; 22.29 deg, I = 36; 28.26 deg, I = 66; 30.19 deg, I = 39; 31.61 deg, I = 89; 34.78 deg, I = 37; 36.39 deg, I = 27; 43.81 deg, I = 34; 44.71 deg, I = 20